Theoretical powder XRD pattern
Compound: Ba2ZnCoTe2O2
Radiation: Cu Kα
Structure: a structure optimized by DFT (PBE+U)
Peak positions follow from Bragg's law for the DFT cell and can differ from measured ones.

Cell and atoms:
Unit cell a=4.3452 b=4.3452 c=12.6705 alpha=90.00 beta=90.00 gamma=120.00
Positions (direct):
Ba (0.0000, 0.0000, 0.0000)
Ba (0.3333, 0.6667, 0.5026)
Zn (0.6667, 0.3333, 0.2942)
Co (0.6667, 0.3333, 0.7944)
Te (0.0000, 0.0000, 0.7165)
Te (0.3333, 0.6667, 0.2123)
O (0.6667, 0.3333, 0.4447)
O (0.6667, 0.3333, 0.9413)

Main lines, sorted by position (5° ≤ 2θ ≤ 70°):
| h k l | two_theta | I_rel |
| --- | --- | --- |
| 1 0 1 | 24.7 | 91 |
| 0 1 2 | 27.6 | 31 |
| 0 0 4 | 28.2 | 35 |
| 0 1 3 | 31.9 | 100 |
| 1 1 0 | 41.6 | 68 |
| 1 1 4 | 51.0 | 39 |